[1]
The following is a computed XRD peak list of Ba5IrRh. It was derived from a crystal structure in Alexandria, relaxed with PBE, using Cu Kα, 1.54184 Å.

Structural model:
```
Ba5IrRh
1.0
5.9537 -5.0048 0.0000
5.9537 5.0048 0.0000
-4.4575 0.0000 10.9698
Ba Ir Rh
10 2 2
Cartesian
2.2004 0.4018 0.0364
3.1039 1.8946 3.7968
-0.0283 -0.4018 5.5213
2.6106 2.5138 8.2273
6.5747 1.8946 1.6881
0.8752 -1.8946 9.2817
4.8393 -2.5138 2.7424
7.4782 0.4018 5.4485
4.3460 -1.8946 7.1730
5.2495 -0.4018 10.9334
0.7481 2.5024 5.4849
2.9768 -2.5024 0.0000
4.8393 4.2906 2.7424
2.6106 -4.2906 8.2273
```

Peak list (10 most intense, 10° ≤ 2θ ≤ 80°, in order of falling intensity)
2θ/deg	I (rel.)
26.89	100
16.04	75
28.24	72
25.16	59
39.40	50
18.01	48
28.61	42
47.66	32
12.61	31
38.47	31

=====

[2]
The following is a computed XRD peak list of Ba2Sr6IrRh. It was derived from a crystal structure in Alexandria, relaxed with PBE, using Cu Kα, 1.54184 Å.

Structural model:
```
Ba2Sr6IrRh
1.0
-4.2646 4.2646 6.0324
4.2646 -4.2646 6.0324
4.2646 4.2646 -6.0324
Ba Sr Ir Rh
2 6 1 1
Cartesian
4.2646 0.0000 0.0000
0.0000 4.2646 0.0000
0.0000 0.0000 0.0224
2.1447 2.1447 -3.0127
2.1199 -2.1199 3.0197
-2.1199 2.1199 3.0197
0.0000 0.0000 6.0208
2.1199 2.1199 3.0197
0.0000 0.0000 3.0223
0.0000 0.0000 9.0550
```

Peak list (10 most intense, 10° ≤ 2θ ≤ 80°, in order of falling intensity)
2θ/deg	I (rel.)
29.62	100
42.39	75
20.83	58
25.58	41
69.73	34
36.49	28
52.56	26
77.54	25
14.69	19
50.16	19

=====

[3]
The following is a computed XRD peak list of BaIrRu. It was derived from a crystal structure in Alexandria, relaxed with PBE, using Cu Kα, 1.54184 Å.

Structural model:
```
BaIrRu
1.0
4.6754 0.0000 0.0000
0.0000 4.6754 0.0000
0.0000 0.0000 7.0505
Ba Ir Ru
2 2 2
Cartesian
1.1689 1.1689 1.0981
3.5066 3.5066 5.9524
1.1689 1.1689 4.4561
3.5066 3.5066 2.5943
1.1689 3.5066 3.5252
3.5066 1.1689 3.5252
```

Peak list (10 most intense, 10° ≤ 2θ ≤ 80°, in order of falling intensity)
2θ/deg	I (rel.)
31.79	100
12.55	58
38.51	56
50.77	54
26.97	37
59.43	26
37.29	19
55.60	19
78.61	15
40.66	13